1.
This entry pairs a crystal structure of Ac2CuSn5 with its theoretical X-ray diffraction stick pattern. Radiation: Cu Ka. Structure: a crystal structure in Alexandria, relaxed with GGA-PBE.
No peak broadening, texture or thermal motion is included.

Most intense lines, 10 to 80 degrees two-theta, in order of rising 2θ:
d = 3.503 Å, I 20, hkl 1 1 2; d = 2.821 Å, I 100, hkl 2 0 2; d = 2.591 Å, I 16, hkl 0 0 4; d = 2.378 Å, I 36, hkl 2 2 0; d = 2.275 Å, I 11, hkl 1 1 4; d = 1.752 Å, I 20, hkl 2 2 4; d = 1.681 Å, I 13, hkl 4 0 0; d = 1.536 Å, I 13, hkl 2 0 6; d = 1.444 Å, I 28, hkl 4 2 2; d = 1.410 Å, I 10, hkl 4 0 4

Structural model:
a b c (Å): 6.7246 6.7246 10.3633
angles (deg): 90.00 90.00 90.00
Space group I4mm (No. 107)
Symmetry-distinct sites (fractional):
Ac: 0.0000 0.5000 0.0000 x4
Cu: 0.0000 0.0000 0.1184 x2
Sn: 0.0000 0.0000 0.5435 x2
Sn: 0.2470 0.2470 0.7533 x8



2.
This entry pairs a crystal structure of Nd2C2Se with its theoretical X-ray diffraction stick pattern. Radiation: Cu Ka. Structure: a crystal structure in Alexandria, relaxed with GGA-PBE.
No peak broadening, texture or thermal motion is included.

Most intense lines, 10 to 80 degrees two-theta, in order of rising 2θ:
d = 3.447 Å, I 15, hkl 4 0 0; d = 3.419 Å, I 20, hkl 2 0 -2; d = 3.383 Å, I 31, hkl 1 1 1; d = 2.998 Å, I 100, hkl 3 1 -1; d = 2.864 Å, I 47, hkl 2 0 2; d = 2.687 Å, I 17, hkl 3 1 1; d = 2.145 Å, I 19, hkl 6 0 -2; d = 2.077 Å, I 27, hkl 5 1 1; d = 2.065 Å, I 34, hkl 1 1 -3; d = 1.691 Å, I 14, hkl 2 2 2

Structural model:
a b c (Å): 14.1299 4.1922 7.1268
angles (deg): 90.00 102.60 90.00
Space group C2/c (No. 15)
Symmetry-distinct sites (fractional):
Nd: 0.1414 0.1925 0.1414 x8
C: 0.2273 0.3676 0.5324 x8
Se: 0.0000 0.2939 0.7500 x4



3.
This entry pairs a crystal structure of Pm12NdSc2 with its theoretical X-ray diffraction stick pattern. Radiation: Cu Ka. Structure: a crystal structure in Alexandria, relaxed with GGA-PBE.
No peak broadening, texture or thermal motion is included.

Most intense lines, 10 to 80 degrees two-theta, in order of rising 2θ:
d = 3.112 Å, I 32, hkl 0 2 7; d = 3.097 Å, I 20, hkl 1 3 0; d = 2.911 Å, I 100, hkl 2 2 -1; d = 2.847 Å, I 88, hkl 0 2 8; d = 2.790 Å, I 18, hkl 1 3 4; d = 2.693 Å, I 22, hkl 2 0 6; d = 2.589 Å, I 35, hkl 0 4 0; d = 2.537 Å, I 20, hkl 2 0 -8; d = 2.525 Å, I 24, hkl 2 0 7; d = 1.502 Å, I 29, hkl 4 2 -9

Structural model:
a b c (Å): 7.0540 10.3579 27.3204
angles (deg): 90.00 93.97 90.00
Space group C2/m (No. 12)
Symmetry-distinct sites (fractional):
Pm: 0.0179 0.2499 0.0671 x8
Pm: 0.0547 0.0000 0.3662 x4
Pm: 0.0559 0.2471 0.2039 x8
Pm: 0.1209 0.3088 0.3317 x8
Pm: 0.1274 0.3091 0.5589 x8
Pm: 0.2106 0.0000 0.8670 x4
Pm: 0.2129 0.0000 0.5340 x4
Pm: 0.2129 0.5000 0.8637 x4
Nd: 0.2490 0.5000 0.9988 x4
Sc: 0.1743 0.0000 0.7443 x4
Sc: 0.1815 0.5000 0.7372 x4



4.
This entry pairs a crystal structure of LiI3Br9 with its theoretical X-ray diffraction stick pattern. Radiation: Cu Ka. Structure: a crystal structure in Alexandria, relaxed with GGA-PBE.
No peak broadening, texture or thermal motion is included.

Most intense lines, 10 to 80 degrees two-theta, in order of rising 2θ:
d = 8.707 Å, I 43, hkl 1 1 0; d = 7.073 Å, I 36, hkl 0 0 2; d = 6.811 Å, I 27, hkl 1 1 1; d = 6.154 Å, I 33, hkl 1 1 -2; d = 5.384 Å, I 100, hkl 3 1 -1; d = 5.039 Å, I 35, hkl 3 1 -2; d = 4.352 Å, I 38, hkl 4 0 0; d = 3.537 Å, I 20, hkl 3 1 2; d = 3.158 Å, I 23, hkl 1 3 1; d = 2.908 Å, I 37, hkl 3 3 0

Structural model:
a b c (Å): 19.1053 10.0785 15.5444
angles (deg): 90.00 114.60 90.00
Space group Cc (No. 9)
Symmetry-distinct sites (fractional):
Li: 0.0000 0.0602 0.0000 x4
I: 0.0867 0.1612 0.3224 x4
I: 0.3286 0.3281 0.9278 x4
I: 0.4239 0.1183 0.3092 x4
Br: 0.0058 0.3863 0.3143 x4
Br: 0.0529 0.2529 0.9147 x4
Br: 0.0823 0.2126 0.1504 x4
Br: 0.0995 0.1156 0.5019 x4
Br: 0.2256 0.2343 0.7600 x4
Br: 0.2903 0.0011 0.6877 x4
Br: 0.3003 0.1219 0.0174 x4
Br: 0.3717 0.4654 0.3431 x4
Br: 0.4293 0.4280 0.0933 x4



5.
This entry pairs a crystal structure of LiCa8Rh2 with its theoretical X-ray diffraction stick pattern. Radiation: Cu Ka. Structure: a crystal structure in Alexandria, relaxed with GGA-PBE.
No peak broadening, texture or thermal motion is included.

Most intense lines, 10 to 80 degrees two-theta, in order of rising 2θ:
d = 7.410 Å, I 69, hkl 1 1 0; d = 6.736 Å, I 63, hkl 0 2 0; d = 5.685 Å, I 100, hkl 0 0 1; d = 3.128 Å, I 60, hkl 1 3 1; d = 2.896 Å, I 51, hkl 0 4 1; d = 2.842 Å, I 78, hkl 0 0 2; d = 2.684 Å, I 41, hkl 2 0 -2; d = 2.619 Å, I 44, hkl 0 2 2; d = 2.470 Å, I 50, hkl 3 3 0; d = 2.215 Å, I 40, hkl 1 3 2

Structural model:
a b c (Å): 9.1102 13.4719 5.8367
angles (deg): 90.00 103.09 90.00
Space group Cm (No. 8)
Symmetry-distinct sites (fractional):
Li: 0.0000 0.0000 0.0000 x2
Ca: 0.0001 0.2511 0.0031 x4
Ca: 0.1096 0.5000 0.7876 x2
Ca: 0.1983 0.1369 0.5850 x4
Ca: 0.3020 0.3631 0.4208 x4
Ca: 0.3905 0.0000 0.2183 x2
Rh: 0.0002 0.3152 0.5031 x4



6.
This entry pairs a crystal structure of Nd4MnSn8 with its theoretical X-ray diffraction stick pattern. Radiation: Cu Ka. Structure: a crystal structure in Alexandria, relaxed with GGA-PBE.
No peak broadening, texture or thermal motion is included.

Most intense lines, 10 to 80 degrees two-theta, in order of rising 2θ:
d = 2.891 Å, I 16, hkl 0 0 6; d = 2.794 Å, I 100, hkl 1 1 3; d = 2.428 Å, I 9, hkl 1 0 6; d = 2.276 Å, I 18, hkl 0 2 0; d = 2.237 Å, I 18, hkl 2 0 0; d = 1.788 Å, I 8, hkl 0 2 6; d = 1.769 Å, I 8, hkl 2 0 6; d = 1.595 Å, I 12, hkl 2 2 0; d = 1.394 Å, I 12, hkl 1 3 3; d = 1.376 Å, I 12, hkl 3 1 3

Structural model:
a b c (Å): 4.4737 4.5518 17.3455
angles (deg): 90.00 90.00 90.00
Space group Pmm2 (No. 25)
Symmetry-distinct sites (fractional):
Nd: 0.0000 0.0000 0.0000 x1
Nd: 0.0000 0.5000 0.4878 x1
Nd: 0.5000 0.0000 0.7882 x1
Nd: 0.5000 0.5000 0.2907 x1
Mn: 0.0000 0.5000 0.7070 x1
Sn: 0.0000 0.0000 0.3261 x1
Sn: 0.0000 0.0000 0.6274 x1
Sn: 0.0000 0.5000 0.1438 x1
Sn: 0.0000 0.5000 0.8565 x1
Sn: 0.5000 0.0000 0.1478 x1
Sn: 0.5000 0.0000 0.4437 x1
Sn: 0.5000 0.5000 0.6253 x1
Sn: 0.5000 0.5000 0.9707 x1